Computed powder diffraction line list
Compound: Nd5Sm2YEr
Radiation: CuKα
Structure: a structure optimized by DFT (PBE)
Neutral-atom scattering factors, no anomalous dispersion.

The 10 most intense peaks (2θ = 10–90°), in order of rising 2θ:
(hkl), 2θ (°), I/Imax
2 1 3, 28.1, 52
2 2 0, 29.1, 51
2 0 4, 29.8, 100
3 1 2, 34.5, 20
3 2 1, 37.8, 16
0 0 8, 43.6, 13
3 1 6, 46.6, 15
4 2 4, 52.1, 25
2 2 8, 53.3, 13
4 1 7, 58.7, 12

Cell and atoms:
Lattice parameters (Å, degrees): 8.6658 8.6658 16.6137 90.00 90.00 90.00
Space group I4/mcm (No. 140)
Asymmetric unit:
1 Nd 0.0000 0.0000 0.0000 [4 per cell]
2 Nd 0.2146 0.2854 0.1419 [16 per cell]
3 Sm 0.1207 0.3793 0.5000 [8 per cell]
4 Y 0.0000 0.0000 0.2500 [4 per cell]
5 Er 0.0000 0.5000 0.2500 [4 per cell]

---

Computed powder diffraction line list
Compound: NdEr4Sn4
Radiation: CuKα
Structure: a structure optimized by DFT (PBE)
Neutral-atom scattering factors, no anomalous dispersion.

The 10 most intense peaks (2θ = 10–90°), in order of rising 2θ:
(hkl), 2θ (°), I/Imax
1 1 0, 12.7, 32
1 3 0, 28.7, 100
1 0 2, 30.8, 59
2 3 1, 36.1, 35
3 0 2, 40.4, 43
4 1 1, 40.6, 17
4 2 0, 41.0, 24
3 2 2, 44.6, 20
1 4 2, 48.5, 17
4 3 2, 55.6, 18

Cell and atoms:
Lattice parameters (Å, degrees): 9.8455 9.8455 6.0837 90.00 90.00 90.00
Space group P4_2/n (No. 86, origin choice 2)
Asymmetric unit:
1 Nd 0.2500 0.2500 0.2500 [2 per cell]
2 Er 0.0992 0.6452 0.1424 [8 per cell]
3 Sn 0.0401 0.6092 0.6536 [8 per cell]